Record 1
This entry pairs a crystal structure of Y8Ag2Os with its theoretical powder diffractogram. Radiation: copper Kα. Structure: a PBE-relaxed structure.
No peak broadening, texture or thermal motion is included.

Cell and atoms:
```
Y8Ag2Os
1.0
3.844 -7.855 0.000
3.844 7.855 0.000
-3.339 0.000 5.185
Y Ag Os
8 2 1
Cartesian
0.000 0.000 0.000 Y
1.676 3.001 0.709 Y
2.322 6.015 2.494 Y
1.385 1.788 4.375 Y
1.676 -3.001 0.709 Y
3.028 0.000 1.929 Y
1.385 -1.788 4.375 Y
2.322 -6.015 2.494 Y
3.756 3.351 3.320 Ag
3.756 -3.351 3.320 Ag
-0.791 0.000 4.483 Os
```

Top 10 peaks for 2θ = 10–90°, by intensity:
d 2.773, 32.3 deg, I = 100
d 2.462, 36.5 deg, I = 26
d 2.740, 32.7 deg, I = 24
d 2.497, 36.0 deg, I = 21
d 2.988, 29.9 deg, I = 21
d 2.281, 39.5 deg, I = 19
d 2.394, 37.6 deg, I = 19
d 2.758, 32.5 deg, I = 16
d 1.616, 57.0 deg, I = 15
d 5.515, 16.1 deg, I = 13

Record 2
This entry pairs a crystal structure of ZrAgOs2 with its theoretical powder diffractogram. Radiation: copper Kα. Structure: a PBE-relaxed structure.
No peak broadening, texture or thermal motion is included.

Cell and atoms:
```
ZrAgOs2
1.0
1.413 0.816 9.717
-1.413 0.816 9.717
0.000 -1.632 9.717
Zr Ag Os
1 1 2
Cartesian
0.000 0.000 0.000 Zr
0.000 0.000 22.082 Ag
0.000 0.000 7.163 Os
0.000 0.000 14.823 Os
```

Top 10 peaks for 2θ = 10–90°, by intensity:
d 2.321, 38.8 deg, I = 100
d 2.032, 44.6 deg, I = 63
d 2.429, 37.0 deg, I = 32
d 1.222, 78.3 deg, I = 22
d 1.413, 66.1 deg, I = 21
d 1.462, 63.7 deg, I = 17
d 1.207, 79.4 deg, I = 12
d 1.160, 83.3 deg, I = 10
d 2.110, 42.9 deg, I = 10
d 1.798, 50.8 deg, I = 9